Entry 1:
Starting from DFT lattice parameters and positions (GGA-PBE), the powder diffractogram of BaNp4S6 was computed for Cu Ka.
Neutral-atom scattering factors, no anomalous dispersion.

Crystal structure
```
BaNp4S6
1.0
2.013 -6.532 0.000
2.013 6.532 0.000
0.000 0.000 20.320
Ba Np S
2 8 12
Direct
0.160 0.840 0.750
0.840 0.160 0.250
0.098 0.902 0.124
0.098 0.902 0.376
0.364 0.636 0.040
0.364 0.636 0.460
0.636 0.364 0.540
0.636 0.364 0.960
0.902 0.098 0.624
0.902 0.098 0.876
0.000 0.000 0.000
0.000 0.000 0.500
0.159 0.841 0.250
0.267 0.733 0.584
0.267 0.733 0.916
0.465 0.535 0.157
0.465 0.535 0.343
0.535 0.465 0.657
0.535 0.465 0.843
0.733 0.267 0.084
0.733 0.267 0.416
0.841 0.159 0.750
```

Peak list (10 most intense, 2θ = 10–80°, low angle first)
| d [Å] | 2theta | I_rel |
| --- | --- | --- |
| 3.451 | 25.8 | 100 |
| 3.346 | 26.6 | 60 |
| 3.266 | 27.3 | 42 |
| 2.926 | 30.6 | 40 |
| 2.839 | 31.5 | 63 |
| 2.709 | 33.1 | 57 |
| 2.653 | 33.8 | 40 |
| 2.120 | 42.7 | 35 |
| 2.013 | 45.0 | 64 |
| 1.739 | 52.6 | 37 |

---

Entry 2:
Starting from DFT lattice parameters and positions (GGA-PBE), the powder diffractogram of BaNpS2 was computed for Cu Ka.
Neutral-atom scattering factors, no anomalous dispersion.

Crystal structure
```
BaNpS2
1.0
2.075 1.198 7.125
-2.075 1.198 7.125
0.000 -2.396 7.125
Ba Np S
1 1 2
Direct
0.000 0.000 0.000
0.500 0.500 0.500
0.236 0.236 0.236
0.764 0.764 0.764
```

Peak list (10 most intense, 2θ = 10–80°, low angle first)
| d [Å] | 2theta | I_rel |
| --- | --- | --- |
| 7.125 | 12.4 | 18 |
| 3.563 | 25.0 | 26 |
| 3.406 | 26.2 | 67 |
| 2.982 | 30.0 | 100 |
| 2.144 | 42.1 | 37 |
| 2.075 | 43.6 | 36 |
| 1.793 | 50.9 | 26 |
| 1.703 | 53.8 | 19 |
| 1.352 | 69.6 | 16 |
| 1.316 | 71.7 | 16 |